No. 1
# VH5Se2NO7
Theoretical powder diffraction line list, Cu Ka. Input: a structure optimized by DFT (PBE+U).

abc: 4.0560 10.6711 8.0641
angles: 90.00 98.54 90.00
Positions (direct):
1 V 0.0676 0.2500 0.0456
2 V 0.9324 0.7500 0.9544
3 H 0.0000 0.0000 0.5000
4 H 0.0000 0.5000 0.5000
5 H 0.1877 0.7500 0.3977
6 H 0.2734 0.7500 0.6081
7 H 0.4782 0.1706 0.5110
8 H 0.4782 0.3294 0.5110
9 H 0.5218 0.6706 0.4890
10 H 0.5218 0.8294 0.4890
11 H 0.7266 0.2500 0.3919
12 H 0.8123 0.2500 0.6023
13 Se 0.2017 0.0098 0.8100
14 Se 0.2017 0.4902 0.8100
15 Se 0.7983 0.5098 0.1900
16 Se 0.7983 0.9902 0.1900
17 N 0.3764 0.7500 0.4978
18 N 0.6236 0.2500 0.5022
19 O 0.0431 0.1242 0.2294
20 O 0.0431 0.3758 0.2294
21 O 0.0817 0.6170 0.1296
22 O 0.0817 0.8830 0.1296
23 O 0.2002 0.0546 0.6023
24 O 0.2002 0.4454 0.6023
25 O 0.4789 0.2500 0.0386
26 O 0.5211 0.7500 0.9614
27 O 0.7998 0.5546 0.3977
28 O 0.7998 0.9454 0.3977
29 O 0.9183 0.1170 0.8704
30 O 0.9183 0.3830 0.8704
31 O 0.9569 0.6242 0.7706
32 O 0.9569 0.8758 0.7706

Top 12 peaks for 2θ from 10° to 80°, by angle:
2θ = 11.1°, 7.975 Å, I 100.0; 2θ = 16.6°, 5.336 Å, I 39.7; 2θ = 22.2°, 4.011 Å, I 40.1; 2θ = 26.3°, 3.387 Å, I 55.5; 2θ = 27.9°, 3.194 Å, I 73.6; 2θ = 28.8°, 3.105 Å, I 73.7; 2θ = 31.3°, 2.859 Å, I 29.1; 2θ = 33.6°, 2.667 Å, I 23.6; 2θ = 33.7°, 2.657 Å, I 40.8; 2θ = 37.8°, 2.379 Å, I 28.1; 2θ = 43.2°, 2.096 Å, I 22.0; 2θ = 48.5°, 1.877 Å, I 23.6



No. 2
# LiMn5O3F5
Theoretical powder diffraction line list, Cu Ka. Input: a structure optimized by DFT (PBE+U).

abc: 6.4110 6.4110 6.4114
angles: 119.86 119.86 59.63
Positions (direct):
1 Li 0.0000 0.0000 0.0000
2 Mn 0.3226 0.3226 0.5761
3 Mn 0.4706 0.9941 0.9903
4 Mn 0.6292 0.6292 0.3419
5 Mn 0.9829 0.9829 0.4813
6 Mn 0.9941 0.4706 0.9903
7 O 0.2085 0.2085 0.7358
8 O 0.2176 0.2176 0.1986
9 O 0.7570 0.7570 0.2131
10 F 0.2160 0.7354 0.7324
11 F 0.2258 0.7449 0.2155
12 F 0.7354 0.2160 0.7324
13 F 0.7390 0.7390 0.7384
14 F 0.7449 0.2258 0.2155

Top 12 peaks for 2θ from 10° to 80°, by angle:
2θ = 27.8°, 3.206 Å, I 85.5; 2θ = 32.6°, 2.744 Å, I 65.7; 2θ = 32.8°, 2.733 Å, I 41.6; 2θ = 32.9°, 2.724 Å, I 100.0; 2θ = 39.6°, 2.278 Å, I 19.5; 2θ = 39.9°, 2.260 Å, I 31.3; 2θ = 43.5°, 2.079 Å, I 19.7; 2θ = 49.2°, 1.853 Å, I 18.9; 2θ = 52.6°, 1.741 Å, I 35.4; 2θ = 57.4°, 1.606 Å, I 35.8; 2θ = 57.5°, 1.603 Å, I 43.9; 2θ = 57.9°, 1.594 Å, I 18.8



No. 3
# Ca7MgTiMn7O24
Theoretical powder diffraction line list, Cu Ka. Input: a structure optimized by DFT (PBE+U).

abc: 7.6151 7.6151 7.6151
angles: 90.01 90.01 90.01
Positions (direct):
1 Ca 0.0000 0.0000 0.0000
2 Ca 0.0000 0.0000 0.5017
3 Ca 0.0000 0.5017 0.0000
4 Ca 0.9999 0.5017 0.5017
5 Ca 0.5017 0.0000 0.0000
6 Ca 0.5017 0.9999 0.5017
7 Ca 0.5017 0.5017 0.9999
8 Mg 0.5017 0.5017 0.5017
9 Ti 0.2514 0.2514 0.2514
10 Mn 0.2511 0.2511 0.7506
11 Mn 0.2512 0.7505 0.7505
12 Mn 0.2511 0.7507 0.2511
13 Mn 0.7505 0.2512 0.7505
14 Mn 0.7505 0.7505 0.2512
15 Mn 0.7505 0.7505 0.7505
16 Mn 0.7506 0.2511 0.2511
17 O 0.0006 0.2509 0.7508
18 O 0.0006 0.7508 0.2509
19 O 0.0007 0.7508 0.7508
20 O 0.2509 0.0006 0.7508
21 O 0.2509 0.2509 0.9980
22 O 0.2509 0.7508 0.0006
23 O 0.2509 0.9980 0.2509
24 O 0.2516 0.2516 0.5037
25 O 0.2519 0.5011 0.7497
26 O 0.2516 0.5037 0.2516
27 O 0.2519 0.7497 0.5011
28 O 0.5011 0.2519 0.7497
29 O 0.5011 0.7497 0.2519
30 O 0.5009 0.7498 0.7498
31 O 0.5037 0.2516 0.2516
32 O 0.7497 0.2519 0.5011
33 O 0.7497 0.5011 0.2519
34 O 0.7498 0.5009 0.7498
35 O 0.7498 0.7498 0.5009
36 O 0.7508 0.0006 0.2509
37 O 0.7508 0.0007 0.7508
38 O 0.7508 0.2509 0.0006
39 O 0.7508 0.7508 0.0007
40 O 0.9980 0.2509 0.2509

Top 11 peaks for 2θ from 10° to 80°, by angle:
2θ = 11.6°, 7.615 Å, I 0.6; 2θ = 16.5°, 5.385 Å, I 0.5; 2θ = 23.4°, 3.808 Å, I 21.7; 2θ = 33.3°, 2.692 Å, I 100.0; 2θ = 41.1°, 2.198 Å, I 6.4; 2θ = 47.8°, 1.904 Å, I 54.3; 2θ = 53.8°, 1.703 Å, I 6.6; 2θ = 59.5°, 1.554 Å, I 34.7; 2θ = 69.9°, 1.346 Å, I 28.4; 2θ = 74.8°, 1.269 Å, I 2.5; 2θ = 79.6°, 1.204 Å, I 14.2



No. 4
# MgMn6O11F
Theoretical powder diffraction line list, Cu Ka. Input: a structure optimized by DFT (PBE+U).

abc: 5.0564 5.6641 7.4722
angles: 81.69 84.48 81.59
Positions (direct):
1 Mg 0.0000 0.0000 0.0000
2 Mn 0.0021 0.0064 0.5037
3 Mn 0.0491 0.3882 0.1926
4 Mn 0.4821 0.1658 0.8184
5 Mn 0.4920 0.5029 0.5014
6 Mn 0.4954 0.8277 0.1784
7 Mn 0.9318 0.6186 0.8083
8 O 0.1410 0.3311 0.9302
9 O 0.1498 0.6792 0.5861
10 O 0.1578 0.0336 0.2501
11 O 0.3447 0.2032 0.5976
12 O 0.3541 0.5445 0.2625
13 O 0.3690 0.8720 0.9369
14 O 0.6289 0.4551 0.7352
15 O 0.6311 0.7943 0.4041
16 O 0.8267 0.3200 0.4099
17 O 0.8316 0.9754 0.7541
18 O 0.8428 0.6768 0.0728
19 F 0.6401 0.1487 0.0731

Top 12 peaks for 2θ from 10° to 80°, by angle:
2θ = 23.7°, 3.761 Å, I 100.0; 2θ = 28.0°, 3.187 Å, I 73.5; 2θ = 35.7°, 2.517 Å, I 18.6; 2θ = 36.0°, 2.494 Å, I 65.1; 2θ = 36.6°, 2.457 Å, I 21.6; 2θ = 50.2°, 1.817 Å, I 19.0; 2θ = 51.3°, 1.782 Å, I 17.2; 2θ = 54.4°, 1.686 Å, I 17.6; 2θ = 55.2°, 1.664 Å, I 14.8; 2θ = 55.7°, 1.650 Å, I 15.3; 2θ = 57.9°, 1.594 Å, I 15.2; 2θ = 64.3°, 1.449 Å, I 33.0